Structure and calculated powder diffractogram of Ta5Au3 (the PBE geometry in Alexandria; CuKα).
Lines closer than 0.1° are merged.

The 12 most intense peaks (2θ = 10–80°), sorted by position:
h k l	2θ/deg	I_rel
1 3 0	34.01	32
0 0 2	34.98	31
1 1 2	37.31	27
6 0 0	37.81	85
4 2 1	38.01	100
1 3 1	38.39	34
3 3 0	38.54	31
3 1 2	41.55	60
0 2 2	41.76	28
6 2 1	47.86	21
4 2 3	64.75	21
5 5 2	77.62	25

Crystal structure
Lattice parameters (Å, degrees): 14.257 8.048 5.131 90.00 90.00 90.00
Space group Cmcm (No. 63)
Inequivalent atoms, fractional coordinates:
Ta (0.000, 0.163, 0.250) [4 per cell]
Ta (0.118, 0.115, 0.750) [8 per cell]
Ta (0.163, 0.500, 0.000) [8 per cell]
Au (0.000, 0.398, 0.750) [4 per cell]
Au (0.202, 0.201, 0.250) [8 per cell]

---

Structure and calculated powder diffractogram of Cd4Ag3Rh (the PBE geometry in Alexandria; CuKα).
Lines closer than 0.1° are merged.

The 12 most intense peaks (2θ = 10–80°), sorted by position:
h k l	2θ/deg	I_rel
1 2 1	35.30	16
0 0 2	36.33	15
4 0 0	37.17	36
1 0 2	37.54	17
2 2 1	38.91	100
3 2 1	44.39	8
3 0 2	46.26	9
4 0 2	52.95	9
0 4 0	59.34	9
6 2 1	68.18	18
4 4 0	72.14	9
4 2 3	76.29	8

Crystal structure
Lattice parameters (Å, degrees): 9.675 6.229 4.946 90.00 90.00 90.00
Space group Pmma (No. 51)
Inequivalent atoms, fractional coordinates:
Cd (0.000, 0.242, 0.000) [4 per cell]
Cd (0.250, 0.243, 0.400) [4 per cell]
Ag (0.000, 0.500, 0.500) [2 per cell]
Ag (0.250, 0.000, 0.885) [2 per cell]
Ag (0.250, 0.500, 0.893) [2 per cell]
Rh (0.000, 0.000, 0.500) [2 per cell]

---

Structure and calculated powder diffractogram of NaIn2SiPt (the PBE geometry in Alexandria; CuKα).
Lines closer than 0.1° are merged.

The 12 most intense peaks (2θ = 10–80°), sorted by position:
h k l	2θ/deg	I_rel
1 0 0	16.48	78
0 0 1	19.03	100
1 0 1	25.28	51
2 0 0	33.32	84
2 1 0	37.39	20
0 0 2	38.64	96
1 0 2	42.27	42
2 2 0	47.84	30
2 0 2	51.92	76
2 2 2	63.09	26
4 0 0	69.93	21
4 2 0	79.72	22

Crystal structure
Lattice parameters (Å, degrees): 5.378 5.378 4.664 90.00 90.00 90.00
Space group P4/mmm (No. 123)
Inequivalent atoms, fractional coordinates:
Na (0.000, 0.000, 0.000) [1 per cell]
In (0.000, 0.500, 0.500) [2 per cell]
Si (0.500, 0.500, 0.000) [1 per cell]
Pt (0.500, 0.500, 0.500) [1 per cell]

---

Structure and calculated powder diffractogram of HfUAs3 (the PBE geometry in Alexandria; CuKα).
Lines closer than 0.1° are merged.

The 12 most intense peaks (2θ = 10–80°), sorted by position:
h k l	2θ/deg	I_rel
1 1 1	22.47	84
2 1 1	25.82	43
2 0 2	33.33	77
2 2 0	34.01	86
4 1 1	36.44	71
5 0 0	36.81	95
3 0 2	37.29	47
3 2 0	37.90	46
3 1 2	40.46	46
5 1 1	42.89	31
0 2 2	43.26	100
5 2 2	58.07	46

Crystal structure
Lattice parameters (Å, degrees): 12.208 5.845 5.988 90.00 90.00 90.00
Space group Pbcm (No. 57)
Inequivalent atoms, fractional coordinates:
Hf (0.086, 0.250, 0.000) [4 per cell]
U (0.324, 0.514, 0.250) [4 per cell]
As (0.089, 0.625, 0.250) [4 per cell]
As (0.252, 0.025, 0.250) [4 per cell]
As (0.498, 0.250, 0.000) [4 per cell]

---

Structure and calculated powder diffractogram of MgCd8Ag3 (the PBE geometry in Alexandria; CuKα).
Lines closer than 0.1° are merged.

The 12 most intense peaks (2θ = 10–80°), sorted by position:
h k l	2θ/deg	I_rel
1 2 0	33.09	15
1 2 -1	33.85	14
2 0 -1	34.25	12
0 0 3	36.77	100
2 0 -2	37.83	23
1 2 -2	38.84	51
2 0 1	39.86	19
0 4 0	57.86	12
3 2 -1	60.11	18
1 2 -5	68.95	11
0 4 3	70.54	11
3 2 -4	72.57	26

Crystal structure
Lattice parameters (Å, degrees): 5.274 6.374 7.544 90.00 103.50 90.00
Space group P2/m (No. 10)
Inequivalent atoms, fractional coordinates:
Mg (0.000, 0.000, 0.000) [1 per cell]
Cd (0.233, 0.000, 0.670) [2 per cell]
Cd (0.266, 0.260, 0.334) [4 per cell]
Cd (0.500, 0.261, 0.000) [2 per cell]
Ag (0.000, 0.500, 0.000) [1 per cell]
Ag (0.223, 0.500, 0.666) [2 per cell]

---

Structure and calculated powder diffractogram of Li3Sn2Ge (the PBE geometry in Alexandria; CuKα).
Lines closer than 0.1° are merged.

The 12 most intense peaks (2θ = 10–80°), sorted by position:
h k l	2θ/deg	I_rel
1 0 1	24.07	73
1 2 0	26.14	66
1 1 1	26.33	100
2 1 0	32.58	32
1 3 0	35.54	26
0 3 1	37.15	78
0 0 2	37.57	51
2 1 1	37.73	35
2 2 1	42.23	41
1 2 2	46.33	29
2 1 2	50.55	19
0 3 3	67.48	23

Crystal structure
Lattice parameters (Å, degrees): 5.816 8.413 4.790 90.00 90.00 90.00
Space group Pnnm (No. 58)
Inequivalent atoms, fractional coordinates:
Li (0.000, 0.000, 0.000) [2 per cell]
Li (0.166, 0.338, 0.000) [4 per cell]
Sn (0.170, 0.154, 0.500) [4 per cell]
Ge (0.000, 0.500, 0.500) [2 per cell]

---

What did the second record say?
Structure and calculated powder diffractogram of Cd4Ag3Rh (the PBE geometry in Alexandria; CuKα).
Lines closer than 0.1° are merged.

The 12 most intense peaks (2θ = 10–80°), sorted by position:
h k l	2θ/deg	I_rel
1 2 1	35.30	16
0 0 2	36.33	15
4 0 0	37.17	36
1 0 2	37.54	17
2 2 1	38.91	100
3 2 1	44.39	8
3 0 2	46.26	9
4 0 2	52.95	9
0 4 0	59.34	9
6 2 1	68.18	18
4 4 0	72.14	9
4 2 3	76.29	8

Crystal structure
Lattice parameters (Å, degrees): 9.675 6.229 4.946 90.00 90.00 90.00
Space group Pmma (No. 51)
Inequivalent atoms, fractional coordinates:
Cd (0.000, 0.242, 0.000) [4 per cell]
Cd (0.250, 0.243, 0.400) [4 per cell]
Ag (0.000, 0.500, 0.500) [2 per cell]
Ag (0.250, 0.000, 0.885) [2 per cell]
Ag (0.250, 0.500, 0.893) [2 per cell]
Rh (0.000, 0.000, 0.500) [2 per cell]